# TbCo3SiB
Theoretical powder X-ray diffraction pattern, a wavelength of 1.5418 Å. Input: a PBE-relaxed structure.

Most intense lines, 5° ≤ 2θ ≤ 70°, sorted by position:
- 2θ 24.71, I 34, hkl 1 1 1
- 2θ 32.70, I 46, hkl 0 4 0
- 2θ 33.99, I 64, hkl 1 3 1
- 2θ 36.69, I 100, hkl 0 2 2
- 2θ 37.61, I 83, hkl 2 2 0
- 2θ 47.67, I 63, hkl 2 0 2
- 2θ 47.89, I 41, hkl 1 5 1
- 2θ 59.02, I 24, hkl 2 4 2
- 2θ 68.53, I 15, hkl 0 0 4
- 2θ 69.29, I 13, hkl 1 5 3

Structural model:
```
data_TbCo3SiB
_chemical_formula_sum 'Tb4 Co12 Si4 B4'
_space_group_name_H-M_alt 'C m c m'
_space_group_IT_number 63
_space_group_name_Hall '-C 2c 2'
_cell_length_a 5.316
_cell_length_b 10.952
_cell_length_c 5.478
_cell_angle_alpha 90.00
_cell_angle_beta 90.00
_cell_angle_gamma 90.00
loop_
_atom_site_label
_atom_site_type_symbol
_atom_site_fract_x
_atom_site_fract_y
_atom_site_fract_z
_atom_site_occupancy
Tb1 Tb 0.000 0.238 0.250 1
Co1 Co 0.000 0.328 0.750 1
Co2 Co 0.246 0.000 0.000 1
Si1 Si 0.000 0.126 0.750 1
B1 B 0.000 0.492 0.250 1
```

---

# ThCo3SiB
Theoretical powder X-ray diffraction pattern, a wavelength of 1.5418 Å. Input: a PBE-relaxed structure.

Most intense lines, 5° ≤ 2θ ≤ 70°, sorted by position:
- 2θ 16.15, I 31, hkl 0 2 0
- 2θ 24.35, I 79, hkl 1 1 1
- 2θ 32.62, I 38, hkl 0 4 0
- 2θ 33.68, I 79, hkl 1 3 1
- 2θ 35.54, I 100, hkl 0 2 2
- 2θ 36.34, I 22, hkl 0 4 1
- 2θ 37.71, I 85, hkl 2 2 0
- 2θ 46.87, I 66, hkl 2 0 2
- 2θ 47.59, I 34, hkl 1 5 1
- 2θ 58.27, I 28, hkl 2 4 2

Structural model:
```
data_ThCo3SiB
_chemical_formula_sum 'Th4 Co12 Si4 B4'
_space_group_name_H-M_alt 'C m c m'
_space_group_IT_number 63
_space_group_name_Hall '-C 2c 2'
_cell_length_a 5.297
_cell_length_b 10.979
_cell_length_c 5.690
_cell_angle_alpha 90.00
_cell_angle_beta 90.00
_cell_angle_gamma 90.00
loop_
_atom_site_label
_atom_site_type_symbol
_atom_site_fract_x
_atom_site_fract_y
_atom_site_fract_z
_atom_site_occupancy
Th1 Th 0.000 0.229 0.250 1
Co1 Co 0.000 0.321 0.750 1
Co2 Co 0.246 0.500 0.000 1
Si1 Si 0.000 0.116 0.750 1
B1 B 0.000 0.497 0.250 1
```

---

# Sm4Co3B6
Theoretical powder X-ray diffraction pattern, a wavelength of 1.5418 Å. Input: a PBE-relaxed structure.

Most intense lines, 5° ≤ 2θ ≤ 70°, sorted by position:
- 2θ 23.73, I 37, hkl 0 0 6
- 2θ 27.65, I 9, hkl 0 1 5
- 2θ 33.54, I 100, hkl 1 1 0
- 2θ 33.96, I 25, hkl 1 0 7
- 2θ 37.42, I 20, hkl 0 1 8
- 2θ 41.50, I 67, hkl 1 1 6
- 2θ 48.51, I 15, hkl 0 0 12
- 2θ 59.97, I 22, hkl 3 0 0
- 2θ 60.28, I 25, hkl 1 1 12
- 2θ 65.42, I 14, hkl 3 0 6

Structural model:
```
data_Sm4Co3B6
_chemical_formula_sum 'Sm12 Co9 B18'
_space_group_name_H-M_alt 'R -3 m'
_space_group_IT_number 166
_space_group_name_Hall '-R 3 2"'
_cell_length_a 5.3434
_cell_length_b 5.3434
_cell_length_c 22.4979
_cell_angle_alpha 90.00
_cell_angle_beta 90.00
_cell_angle_gamma 120.00
loop_
_atom_site_label
_atom_site_type_symbol
_atom_site_fract_x
_atom_site_fract_y
_atom_site_fract_z
_atom_site_occupancy
Sm1 Sm 0.0000 0.0000 0.0897 1
Sm2 Sm 0.0000 0.0000 0.2440 1
Co1 Co 0.0000 0.0000 0.3859 1
Co2 Co 0.0000 0.0000 0.5000 1
B1 B 0.0000 0.3324 0.0000 1
```

---

# Sm2Co3B4
Theoretical powder X-ray diffraction pattern, a wavelength of 1.5418 Å. Input: a PBE-relaxed structure.

Most intense lines, 5° ≤ 2θ ≤ 70°, sorted by position:
- 2θ 21.32, I 25, hkl 0 2 0
- 2θ 22.16, I 18, hkl 1 1 1
- 2θ 26.05, I 17, hkl 0 2 2
- 2θ 30.70, I 100, hkl 1 1 3
- 2θ 36.96, I 21, hkl 0 2 4
- 2θ 42.48, I 40, hkl 2 2 0
- 2θ 43.42, I 19, hkl 0 4 0
- 2θ 43.70, I 44, hkl 1 3 3
- 2θ 47.67, I 14, hkl 2 0 4
- 2θ 63.94, I 20, hkl 2 2 6

Structural model:
```
data_Sm2Co3B4
_chemical_formula_sum 'Sm8 Co12 B16'
_space_group_name_H-M_alt 'F m m m'
_space_group_IT_number 69
_space_group_name_Hall '-F 2 2'
_cell_length_a 4.950
_cell_length_b 8.336
_cell_length_c 11.978
_cell_angle_alpha 90.00
_cell_angle_beta 90.00
_cell_angle_gamma 90.00
loop_
_atom_site_label
_atom_site_type_symbol
_atom_site_fract_x
_atom_site_fract_y
_atom_site_fract_z
_atom_site_occupancy
Sm1 Sm 0.000 0.000 0.151 1
Co1 Co 0.000 0.000 0.500 1
Co2 Co 0.250 0.250 0.000 1
B1 B 0.000 0.167 0.382 1
```

---

# Sm2CoB10
Theoretical powder X-ray diffraction pattern, a wavelength of 1.5418 Å. Input: a PBE-relaxed structure.

Most intense lines, 5° ≤ 2θ ≤ 70°, sorted by position:
- 2θ 21.29, I 28, hkl 0 0 1
- 2θ 22.50, I 69, hkl 1 2 0
- 2θ 27.84, I 21, hkl 1 1 1
- 2θ 31.17, I 100, hkl 1 2 1
- 2θ 32.04, I 28, hkl 0 4 0
- 2θ 38.79, I 79, hkl 0 4 1
- 2θ 39.61, I 14, hkl 2 1 1
- 2θ 43.37, I 18, hkl 0 0 2
- 2θ 45.93, I 20, hkl 2 4 0
- 2θ 49.39, I 28, hkl 1 2 2

Structural model:
```
data_Sm2CoB10
_chemical_formula_sum 'Sm4 Co2 B20'
_space_group_name_H-M_alt 'P b a m'
_space_group_IT_number 55
_cell_length_a 5.597
_cell_length_b 11.161
_cell_length_c 4.173
_cell_angle_alpha 90.00
_cell_angle_beta 90.00
_cell_angle_gamma 90.00
loop_
_space_group_symop_operation_xyz
'x,y,z'
'-x,-y,-z'
'-x,-y,z'
'x,y,-z'
'x+1/2,-y+1/2,-z'
'-x+1/2,y+1/2,z'
'-x+1/2,y+1/2,-z'
'x+1/2,-y+1/2,z'
loop_
_atom_site_label
_atom_site_type_symbol
_atom_site_fract_x
_atom_site_fract_y
_atom_site_fract_z
_atom_site_occupancy
Sm1 Sm 0.198 0.134 0.000 1
Co1 Co 0.000 0.500 0.500 1
B1 B 0.032 0.314 0.500 1
B2 B 0.128 0.960 0.500 1
B3 B 0.157 0.802 0.500 1
B4 B 0.201 0.387 0.201 1
```

---

# Sm3CoB7
Theoretical powder X-ray diffraction pattern, a wavelength of 1.5418 Å. Input: a PBE-relaxed structure.

Most intense lines, 5° ≤ 2θ ≤ 70°, sorted by position:
- 2θ 26.31, I 75, hkl 1 1 0
- 2θ 29.06, I 91, hkl 0 4 2
- 2θ 30.27, I 72, hkl 0 2 3
- 2θ 32.16, I 56, hkl 1 3 1
- 2θ 33.42, I 45, hkl 0 6 0
- 2θ 38.16, I 37, hkl 1 5 0
- 2θ 38.88, I 100, hkl 1 1 3
- 2θ 39.36, I 41, hkl 1 5 1
- 2θ 42.79, I 34, hkl 1 5 2
- 2θ 56.08, I 38, hkl 1 7 3

Structural model:
```
data_Sm3CoB7
_chemical_formula_sum 'Sm12 Co4 B28'
_space_group_name_H-M_alt 'C m c m'
_space_group_IT_number 63
_space_group_name_Hall '-C 2c 2'
_cell_length_a 3.466
_cell_length_b 16.090
_cell_length_c 9.522
_cell_angle_alpha 90.00
_cell_angle_beta 90.00
_cell_angle_gamma 90.00
loop_
_atom_site_label
_atom_site_type_symbol
_atom_site_fract_x
_atom_site_fract_y
_atom_site_fract_z
_atom_site_occupancy
Sm1 Sm 0.000 0.104 0.062 1
Sm2 Sm 0.000 0.244 0.750 1
Co1 Co 0.000 0.057 0.750 1
B1 B 0.000 0.273 0.032 1
B2 B 0.000 0.369 0.154 1
B3 B 0.000 0.466 0.750 1
B4 B 0.000 0.476 0.101 1
```